[1]
This entry pairs a crystal structure of Ba2Cd6In3 with its theoretical XRD peak list. Radiation: Cu Kα (weighted mean of Kα1 and Kα2). Structure: a DFT-relaxed cell (PBE, Alexandria).

Structural model:
Lattice parameters (Å, degrees): 8.8657 8.8657 4.7979 90.00 90.00 120.00
Space group P-62m (No. 189)
Symmetry-distinct sites (fractional):
Ba 0.3333 0.6667 0.0000
Cd 0.0000 0.2898 0.5000
Cd 0.0000 0.8097 0.0000
In 0.0000 0.6248 0.5000

Largest 6 diffraction maxima, in order of rising 2θ, 10 to 90 degrees two-theta:
27.39 deg, I 100, (1 1 1); 35.06 deg, I 38, (3 0 0); 36.17 deg, I 78, (2 1 1); 37.49 deg, I 34, (0 0 2); 52.27 deg, I 24, (3 0 2); 58.34 deg, I 24, (4 1 1)

***

[2]
This entry pairs a crystal structure of Ca8GeRh2 with its theoretical XRD peak list. Radiation: Cu Kα (weighted mean of Kα1 and Kα2). Structure: a DFT-relaxed cell (PBE, Alexandria).

Structural model:
Lattice parameters (Å, degrees): 8.9097 13.2302 5.7831 90.00 105.91 90.00
Space group Cm (No. 8)
Symmetry-distinct sites (fractional):
Ca 0.0000 0.0000 0.0000
Ca 0.0692 0.3658 0.7690
Ca 0.1710 0.1339 0.5969
Ca 0.2394 0.5000 0.3924
Ca 0.3660 0.2312 0.1932
Ge 0.3662 0.0000 0.3057
Rh 0.3734 0.3149 0.6976

Largest 6 diffraction maxima, in order of rising 2θ, 10 to 90 degrees two-theta:
15.94 deg, I 78, (0 0 1); 29.47 deg, I 72, (1 3 1); 31.47 deg, I 78, (0 4 1); 31.77 deg, I 100, (3 1 -1); 37.52 deg, I 84, (3 3 0); 37.88 deg, I 72, (1 5 -1)

***

[3]
This entry pairs a crystal structure of Hg2GeAu2 with its theoretical XRD peak list. Radiation: Cu Kα (weighted mean of Kα1 and Kα2). Structure: a DFT-relaxed cell (PBE, Alexandria).

Structural model:
Lattice parameters (Å, degrees): 3.2561 14.8481 9.0899 90.00 90.00 90.00
Space group Cmc2_1 (No. 36)
Symmetry-distinct sites (fractional):
Hg 0.0000 0.0783 0.0000
Hg 0.0000 0.3956 0.8252
Ge 0.0000 0.1961 0.6447
Au 0.0000 0.2732 0.3826
Au 0.0000 0.4434 0.1499

Largest 6 diffraction maxima, in order of rising 2θ, 10 to 90 degrees two-theta:
22.94 deg, I 18, (0 2 2); 31.90 deg, I 39, (0 2 3); 34.41 deg, I 100, (1 3 1); 37.67 deg, I 17, (0 6 1); 38.35 deg, I 20, (0 4 3); 66.82 deg, I 23, (1 9 2)

***

[4]
This entry pairs a crystal structure of CoTcOs2 with its theoretical XRD peak list. Radiation: Cu Kα (weighted mean of Kα1 and Kα2). Structure: a DFT-relaxed cell (PBE, Alexandria).

Structural model:
Lattice parameters (Å, degrees): 2.6904 2.6904 7.4586 90.00 90.00 90.00
Space group P4mm (No. 99)
Symmetry-distinct sites (fractional):
Co 0.0000 0.0000 0.0000
Tc 0.5000 0.5000 0.7610
Os 0.0000 0.0000 0.4957
Os 0.5000 0.5000 0.2391

Largest 6 diffraction maxima, in order of rising 2θ, 10 to 90 degrees two-theta:
11.87 deg, I 32, (0 0 1); 41.38 deg, I 100, (1 0 2); 47.81 deg, I 33, (1 1 0); 48.84 deg, I 15, (0 0 4); 70.75 deg, I 20, (1 1 4); 84.64 deg, I 25, (2 1 2)

***

[5]
This entry pairs a crystal structure of ZnCuCl3 with its theoretical XRD peak list. Radiation: Cu Kα (weighted mean of Kα1 and Kα2). Structure: a DFT-relaxed cell (PBE, Alexandria).

Structural model:
Lattice parameters (Å, degrees): 13.2037 3.7869 10.9786 90.00 97.32 90.00
Space group C2/m (No. 12)
Symmetry-distinct sites (fractional):
Zn 0.0902 0.0000 0.2874
Cu 0.1764 0.5000 0.8110
Cl 0.0891 0.0000 0.7545
Cl 0.1300 0.5000 0.4053
Cl 0.1611 0.0000 0.1106

Largest 6 diffraction maxima, in order of rising 2θ, 10 to 90 degrees two-theta:
16.28 deg, I 100, (0 0 2); 25.54 deg, I 34, (1 1 -1); 26.52 deg, I 34, (2 0 -3); 27.24 deg, I 37, (4 0 0); 30.02 deg, I 62, (1 1 2); 46.96 deg, I 42, (5 1 2)

***

[6]
This entry pairs a crystal structure of YTa2Ag with its theoretical XRD peak list. Radiation: Cu Kα (weighted mean of Kα1 and Kα2). Structure: a DFT-relaxed cell (PBE, Alexandria).

Structural model:
Lattice parameters (Å, degrees): 3.4819 3.4819 7.0110 90.00 90.00 90.00
Space group P4mm (No. 99)
Symmetry-distinct sites (fractional):
Y 0.0000 0.0000 0.0000
Ta 0.0000 0.0000 0.5310
Ta 0.5000 0.5000 0.7117
Ag 0.5000 0.5000 0.2786

Largest 6 diffraction maxima, in order of rising 2θ, 10 to 90 degrees two-theta:
12.63 deg, I 34, (0 0 1); 36.37 deg, I 100, (1 0 2); 36.49 deg, I 57, (1 1 0); 52.57 deg, I 20, (2 0 0); 65.60 deg, I 35, (2 1 2); 88.84 deg, I 17, (3 1 0)

***

[7]
This entry pairs a crystal structure of CsPtI with its theoretical XRD peak list. Radiation: Cu Kα (weighted mean of Kα1 and Kα2). Structure: a DFT-relaxed cell (PBE, Alexandria).

Structural model:
Lattice parameters (Å, degrees): 4.0220 7.5761 7.8473 95.94 90.06 105.34
Space group P-1 (No. 2)
Symmetry-distinct sites (fractional):
Cs 0.1110 0.2232 0.2780
Pt 0.2103 0.4206 0.9088
I 0.3771 0.7539 0.2782

Largest 6 diffraction maxima, in order of rising 2θ, 10 to 90 degrees two-theta:
11.34 deg, I 31, (0 0 1); 12.19 deg, I 41, (0 1 0); 15.75 deg, I 43, (0 1 -1); 25.92 deg, I 24, (0 2 -1); 31.83 deg, I 100, (0 2 -2); 41.24 deg, I 23, (1 -1 3)

***

[8]
This entry pairs a crystal structure of Na2GaNiAs2 with its theoretical XRD peak list. Radiation: Cu Kα (weighted mean of Kα1 and Kα2). Structure: a DFT-relaxed cell (PBE, Alexandria).

Structural model:
Lattice parameters (Å, degrees): 5.4926 14.4832 5.9368 90.00 90.00 90.00
Space group Ibam (No. 72)
Symmetry-distinct sites (fractional):
Na 0.2361 0.1772 0.0000
Ga 0.0000 0.0000 0.2500
Ni 0.0000 0.5000 0.2500
As 0.2265 0.3955 0.0000

Largest 6 diffraction maxima, in order of rising 2θ, 10 to 90 degrees two-theta:
12.22 deg, I 100, (0 2 0); 25.28 deg, I 40, (1 2 1); 33.26 deg, I 25, (1 4 1); 39.25 deg, I 43, (0 4 2); 41.26 deg, I 35, (2 4 0); 44.97 deg, I 39, (2 0 2)

***

[9]
This entry pairs a crystal structure of Tm3Si5 with its theoretical XRD peak list. Radiation: Cu Kα (weighted mean of Kα1 and Kα2). Structure: a DFT-relaxed cell (PBE, Alexandria).

Structural model:
Lattice parameters (Å, degrees): 5.5665 16.6965 13.2405 90.00 90.00 90.00
Space group Fdd2 (No. 43)
Symmetry-distinct sites (fractional):
Tm 0.0000 0.0000 0.0000
Tm 0.0065 0.3311 0.9948
Si 0.0000 0.0000 0.5573
Si 0.0073 0.1644 0.9129
Si 0.0369 0.3224 0.5918

Largest 6 diffraction maxima, in order of rising 2θ, 10 to 90 degrees two-theta:
23.58 deg, I 59, (1 3 1); 26.94 deg, I 28, (0 0 4); 30.43 deg, I 57, (1 3 3); 34.97 deg, I 100, (2 0 2); 41.08 deg, I 37, (1 3 5); 46.13 deg, I 28, (2 6 0)

***

[10]
This entry pairs a crystal structure of Na2UCu2O6 with its theoretical XRD peak list. Radiation: Cu Kα (weighted mean of Kα1 and Kα2). Structure: a DFT-relaxed cell (PBE, Alexandria).

Structural model:
Lattice parameters (Å, degrees): 5.3620 5.3620 5.6439 90.00 90.00 120.00
Space group P-31m (No. 162)
Symmetry-distinct sites (fractional):
Na 0.3333 0.6667 0.0000
U 0.0000 0.0000 0.5000
Cu 0.3333 0.6667 0.5000
O 0.0000 0.3325 0.7031

Largest 6 diffraction maxima, in order of rising 2θ, 10 to 90 degrees two-theta:
15.70 deg, I 100, (0 0 1); 19.11 deg, I 27, (1 0 0); 24.83 deg, I 56, (1 0 1); 33.42 deg, I 54, (1 1 0); 37.13 deg, I 60, (2 -1 1); 46.74 deg, I 65, (2 -1 2)